No. 1
Computed X-ray powder pattern
Compound: Np2P2Rh5
Radiation: CuKα
Structure: a cell relaxed with PBE

Structure:
Cell lengths 4.0392, 4.0392, 8.8859 Å; angles 90.00, 90.00, 90.00 degrees
Fractional coordinates of all 9 atoms:
Np  0.0000  0.0000  0.0000
Np  0.0000  0.0000  0.5000
P  0.5000  0.5000  0.1266
P  0.5000  0.5000  0.8734
Rh  0.0000  0.5000  0.2656
Rh  0.0000  0.5000  0.7344
Rh  0.5000  0.0000  0.2656
Rh  0.5000  0.0000  0.7344
Rh  0.5000  0.5000  0.5000

Largest 10 diffraction maxima, by intensity, 2θ = 10–90°:
| 2θ (°) | Rel. int. |
| --- | --- |
| 37.43 | 100 |
| 44.88 | 34 |
| 77.80 | 24 |
| 29.90 | 24 |
| 62.11 | 19 |
| 40.61 | 17 |
| 22.01 | 16 |
| 71.80 | 13 |
| 65.34 | 11 |
| 46.66 | 10 |

No. 2
Computed X-ray powder pattern
Compound: Np3TeP2Rh9
Radiation: CuKα
Structure: a cell relaxed with PBE

Structure:
Cell lengths 7.1175, 7.1175, 6.5079 Å; angles 90.00, 90.00, 120.00 degrees
Fractional coordinates of all 15 atoms:
Np  0.0000  0.0000  0.0000
Np  0.3333  0.6667  0.6938
Np  0.6667  0.3333  0.3062
Te  0.0000  0.0000  0.5000
P  0.3333  0.6667  0.1362
P  0.6667  0.3333  0.8638
Rh  0.0000  0.5000  0.0000
Rh  0.1963  0.3925  0.3673
Rh  0.1963  0.8037  0.3673
Rh  0.3925  0.1963  0.6327
Rh  0.5000  0.0000  0.0000
Rh  0.5000  0.5000  0.0000
Rh  0.6075  0.8037  0.3673
Rh  0.8037  0.1963  0.6327
Rh  0.8037  0.6075  0.6327

Largest 10 diffraction maxima, by intensity, 2θ = 10–90°:
| 2θ (°) | Rel. int. |
| --- | --- |
| 32.13 | 100 |
| 40.31 | 81 |
| 25.02 | 39 |
| 51.35 | 37 |
| 31.08 | 22 |
| 48.03 | 18 |
| 64.80 | 16 |
| 68.16 | 15 |
| 67.22 | 15 |
| 41.63 | 15 |

No. 3
Computed X-ray powder pattern
Compound: Np2P4Ru5
Radiation: CuKα
Structure: a cell relaxed with PBE

Structure:
Cell lengths 7.9987, 6.7213, 5.9117 Å; angles 78.28, 55.36, 46.36 degrees
Fractional coordinates of all 11 atoms:
Np  0.1270  0.1270  0.8730
Np  0.8730  0.8730  0.1270
P  0.2187  0.5003  0.4997
P  0.5003  0.2187  0.7813
P  0.4997  0.7813  0.2187
P  0.7813  0.4997  0.5003
Ru  0.0000  0.0000  0.5000
Ru  0.2500  0.2500  0.2500
Ru  0.5000  0.5000  0.0000
Ru  0.5000  0.5000  0.5000
Ru  0.7500  0.7500  0.7500

Largest 10 diffraction maxima, by intensity, 2θ = 10–90°:
| 2θ (°) | Rel. int. |
| --- | --- |
| 36.05 | 100 |
| 34.14 | 71 |
| 37.67 | 57 |
| 28.35 | 56 |
| 43.56 | 50 |
| 34.60 | 46 |
| 72.79 | 29 |
| 56.79 | 27 |
| 31.17 | 27 |
| 19.24 | 27 |

No. 4
Computed X-ray powder pattern
Compound: Np4P6Ru7
Radiation: CuKα
Structure: a cell relaxed with PBE

Structure:
Cell lengths 7.0441, 7.0441, 7.0441 Å; angles 109.47, 109.47, 109.47 degrees
Fractional coordinates of all 17 atoms:
Np  0.0000  0.0000  0.5000
Np  0.0000  0.5000  0.0000
Np  0.5000  0.0000  0.0000
Np  0.5000  0.5000  0.5000
P  0.0000  0.3129  0.3129
P  0.0000  0.6871  0.6871
P  0.3129  0.0000  0.3129
P  0.3129  0.3129  0.0000
P  0.6871  0.0000  0.6871
P  0.6871  0.6871  0.0000
Ru  0.0000  0.0000  0.0000
Ru  0.2500  0.5000  0.7500
Ru  0.2500  0.7500  0.5000
Ru  0.5000  0.2500  0.7500
Ru  0.5000  0.7500  0.2500
Ru  0.7500  0.2500  0.5000
Ru  0.7500  0.5000  0.2500

Largest 10 diffraction maxima, by intensity, 2θ = 10–90°:
| 2θ (°) | Rel. int. |
| --- | --- |
| 38.33 | 100 |
| 31.10 | 67 |
| 44.56 | 62 |
| 64.84 | 38 |
| 77.91 | 35 |
| 21.85 | 34 |
| 55.33 | 24 |
| 50.16 | 21 |
| 41.54 | 17 |
| 26.85 | 15 |